# CaEr2P
Theoretical powder XRD pattern, copper Kα. Input: a structure optimized by DFT (PBE).
Lines closer than 0.1° are merged.

Crystal structure
Lattice parameters (Å, degrees): 10.313 10.313 10.313 21.20 21.20 21.20
Element x y z (fractional)
1 Ca 0.000 0.000 0.000
2 Er 0.115 0.115 0.115
3 Er 0.885 0.885 0.885
4 P 0.500 0.500 0.500

Most intense lines, 10 to 90 degrees two-theta, in order of falling intensity:
2θ (°)  I/Imax
27.3  100
36.2  91
31.0  87
47.9  84
29.7  72
26.5  60
55.6  46
40.6  38